Record 1
The following is a simulated powder XRD pattern of Ba4Si20Au3. It was derived from the PBE geometry in OQMD, using Cu Kα (weighted mean of Kα1 and Kα2).
Intensities are scaled so that the largest is 100.

Peak list (10 most intense, 10° ≤ 2θ ≤ 80°, sorted by position)
two_theta, intensity
16.9, 20
18.9, 17
20.7, 49
29.5, 58
31.9, 100
34.2, 41
38.3, 18
49.1, 24
53.8, 38
65.3, 18

Structure:
Lattice parameters (Å, degrees): 10.501 10.501 10.501 90.00 90.00 90.00
Positions (direct):
Ba 0.000 0.000 0.000
Ba 0.000 0.250 0.500
Ba 0.000 0.750 0.500
Ba 0.250 0.500 0.000
Ba 0.500 0.000 0.250
Ba 0.500 0.000 0.750
Ba 0.500 0.500 0.500
Ba 0.750 0.500 0.000
Si 0.000 0.304 0.117
Si 0.000 0.304 0.883
Si 0.000 0.696 0.117
Si 0.000 0.696 0.883
Si 0.117 0.000 0.304
Si 0.117 0.000 0.696
Si 0.184 0.184 0.184
Si 0.184 0.184 0.816
Si 0.184 0.816 0.184
Si 0.184 0.816 0.816
Si 0.196 0.500 0.383
Si 0.196 0.500 0.617
Si 0.304 0.117 0.000
Si 0.304 0.883 0.000
Si 0.316 0.316 0.316
Si 0.316 0.316 0.684
Si 0.316 0.684 0.316
Si 0.316 0.684 0.684
Si 0.383 0.196 0.500
Si 0.383 0.804 0.500
Si 0.500 0.383 0.196
Si 0.500 0.383 0.804
Si 0.500 0.617 0.196
Si 0.500 0.617 0.804
Si 0.617 0.196 0.500
Si 0.617 0.804 0.500
Si 0.684 0.316 0.316
Si 0.684 0.316 0.684
Si 0.684 0.684 0.316
Si 0.684 0.684 0.684
Si 0.696 0.117 0.000
Si 0.696 0.883 0.000
Si 0.804 0.500 0.383
Si 0.804 0.500 0.617
Si 0.816 0.184 0.184
Si 0.816 0.184 0.816
Si 0.816 0.816 0.184
Si 0.816 0.816 0.816
Si 0.883 0.000 0.304
Si 0.883 0.000 0.696
Au 0.000 0.500 0.250
Au 0.000 0.500 0.750
Au 0.250 0.000 0.500
Au 0.500 0.250 0.000
Au 0.500 0.750 0.000
Au 0.750 0.000 0.500

***

Record 2
The following is a simulated powder XRD pattern of Gd2Ta2Cl2O7. It was derived from the PBE geometry in OQMD, using Cu Kα (weighted mean of Kα1 and Kα2).
Intensities are scaled so that the largest is 100.

Peak list (10 most intense, 10° ≤ 2θ ≤ 80°, sorted by position)
two_theta, intensity
14.2, 57
23.7, 73
29.1, 43
29.6, 70
30.0, 100
34.3, 34
35.2, 63
43.4, 26
46.6, 31
49.1, 24

Structure:
Lattice parameters (Å, degrees): 7.850 7.850 6.863 113.43 113.43 28.75
Positions (direct):
Gd 0.194 0.194 0.164
Gd 0.806 0.806 0.836
Ta 0.465 0.465 0.199
Ta 0.535 0.535 0.801
Cl 0.180 0.180 0.565
Cl 0.820 0.820 0.435
O 0.048 0.048 0.845
O 0.321 0.321 0.065
O 0.416 0.416 0.843
O 0.500 0.500 0.500
O 0.584 0.584 0.157
O 0.679 0.679 0.935
O 0.952 0.952 0.155

***

Record 3
The following is a simulated powder XRD pattern of CsRbAg2Te4Mo. It was derived from the PBE geometry in OQMD, using Cu Kα (weighted mean of Kα1 and Kα2).
Intensities are scaled so that the largest is 100.

Peak list (10 most intense, 10° ≤ 2θ ≤ 80°, sorted by position)
two_theta, intensity
11.9, 32
26.0, 100
26.4, 95
29.7, 46
36.5, 26
38.5, 80
45.2, 19
45.9, 33
46.7, 19
47.4, 37

Structure:
Lattice parameters (Å, degrees): 6.641 6.598 8.060 90.00 113.06 90.00
Positions (direct):
Cs 0.000 0.000 0.000
Rb 0.500 0.485 0.000
Ag 0.000 0.740 0.500
Ag 0.500 0.239 0.500
Te 0.168 0.509 0.286
Te 0.375 0.966 0.714
Te 0.625 0.966 0.286
Te 0.832 0.509 0.714
Mo 0.500 0.736 0.500

***

Record 4
The following is a simulated powder XRD pattern of Pr2I2BrN. It was derived from the PBE geometry in OQMD, using Cu Kα (weighted mean of Kα1 and Kα2).
Intensities are scaled so that the largest is 100.

Peak list (10 most intense, 10° ≤ 2θ ≤ 80°, sorted by position)
two_theta, intensity
24.9, 37
26.2, 78
29.0, 41
29.4, 60
30.1, 100
33.3, 35
37.4, 39
39.3, 54
40.2, 47
43.6, 35

Structure:
Lattice parameters (Å, degrees): 9.923 9.923 12.385 123.32 123.32 24.13
Positions (direct):
Pr 0.076 0.076 0.463
Pr 0.369 0.369 0.222
Pr 0.631 0.631 0.778
Pr 0.924 0.924 0.537
I 0.165 0.165 0.015
I 0.454 0.454 0.757
I 0.546 0.546 0.243
I 0.835 0.835 0.985
Br 0.292 0.292 0.380
Br 0.708 0.708 0.620
N 0.070 0.070 0.650
N 0.930 0.930 0.350

***

Record 5
The following is a simulated powder XRD pattern of Cu3Br4. It was derived from the PBE geometry in OQMD, using Cu Kα (weighted mean of Kα1 and Kα2).
Intensities are scaled so that the largest is 100.

Peak list (10 most intense, 10° ≤ 2θ ≤ 80°, sorted by position)
two_theta, intensity
15.8, 8
22.4, 8
27.5, 100
45.6, 46
45.7, 23
53.9, 14
54.2, 29
66.7, 7
73.3, 11
73.5, 6

Structure:
Lattice parameters (Å, degrees): 5.611 5.611 5.645 90.00 90.00 90.00
Positions (direct):
Cu 0.000 0.000 0.000
Cu 0.000 0.500 0.500
Cu 0.500 0.000 0.500
Br 0.252 0.252 0.752
Br 0.252 0.748 0.248
Br 0.748 0.252 0.248
Br 0.748 0.748 0.752

***

Record 6
The following is a simulated powder XRD pattern of RbTcAgSeS2. It was derived from the PBE geometry in OQMD, using Cu Kα (weighted mean of Kα1 and Kα2).
Intensities are scaled so that the largest is 100.

Peak list (10 most intense, 10° ≤ 2θ ≤ 80°, sorted by position)
two_theta, intensity
11.4, 100
31.0, 89
34.7, 27
35.6, 41
39.0, 23
40.2, 33
42.0, 17
49.4, 16
54.8, 21
62.4, 27

Structure:
Lattice parameters (Å, degrees): 8.004 8.004 10.090 90.00 90.00 153.35
Positions (direct):
Rb 0.245 0.755 0.750
Rb 0.755 0.245 0.250
Tc 0.000 0.000 0.000
Tc 0.000 0.000 0.500
Ag 0.447 0.553 0.250
Ag 0.553 0.447 0.750
Se 0.067 0.933 0.250
Se 0.933 0.067 0.750
S 0.393 0.607 0.024
S 0.393 0.607 0.476
S 0.607 0.393 0.524
S 0.607 0.393 0.976

***

Record 7
The following is a simulated powder XRD pattern of La2Mg3AlNi2. It was derived from the PBE geometry in OQMD, using Cu Kα (weighted mean of Kα1 and Kα2).
Intensities are scaled so that the largest is 100.

Peak list (10 most intense, 10° ≤ 2θ ≤ 80°, sorted by position)
two_theta, intensity
22.2, 100
22.6, 92
31.8, 74
31.9, 89
35.8, 73
36.0, 72
37.5, 34
37.7, 38
42.2, 47
48.8, 26

Structure:
Lattice parameters (Å, degrees): 10.019 4.283 8.010 90.00 90.55 90.00
Positions (direct):
La 0.000 0.000 0.000
La 0.113 0.000 0.517
La 0.500 0.500 0.000
La 0.613 0.500 0.517
Mg 0.214 0.500 0.208
Mg 0.214 0.500 0.816
Mg 0.403 0.000 0.320
Mg 0.714 0.000 0.208
Mg 0.714 0.000 0.816
Mg 0.903 0.500 0.320
Al 0.399 0.000 0.704
Al 0.899 0.500 0.704
Ni 0.289 0.000 0.996
Ni 0.346 0.500 0.530
Ni 0.789 0.500 0.996
Ni 0.846 0.000 0.530

***

Record 8
The following is a simulated powder XRD pattern of GdTmIn3Si2. It was derived from the PBE geometry in OQMD, using Cu Kα (weighted mean of Kα1 and Kα2).
Intensities are scaled so that the largest is 100.

Peak list (10 most intense, 10° ≤ 2θ ≤ 80°, sorted by position)
two_theta, intensity
26.7, 13
33.1, 56
33.4, 100
33.5, 29
34.5, 25
37.3, 36
39.5, 17
42.3, 28
55.0, 14
65.2, 15

Structure:
Lattice parameters (Å, degrees): 10.635 4.274 6.986 90.00 99.87 90.00
Positions (direct):
Gd 0.000 0.000 0.000
Gd 0.500 0.500 0.000
Tm 0.242 0.000 0.664
Tm 0.742 0.500 0.664
In 0.122 0.500 0.334
In 0.316 0.000 0.182
In 0.425 0.500 0.482
In 0.622 0.000 0.334
In 0.816 0.500 0.182
In 0.925 0.000 0.482
Si 0.027 0.500 0.711
Si 0.214 0.500 0.946
Si 0.527 0.000 0.711
Si 0.714 0.000 0.946